1.
The following is a theoretical XRD peak list of Sr3Ti2Mn2BiO12. It was derived from the GGA+U geometry in the Materials Project, using copper Kα.
Neutral-atom scattering factors, no anomalous dispersion.

Structural model:
a = 9.571 Å, b = 9.571 Å, c = 9.571 Å
α = 33.72°, β = 33.72°, γ = 33.72°
Atoms (fractional coordinates):
Sr: 0.000 0.000 0.000
Sr: 0.249 0.249 0.249
Sr: 0.751 0.751 0.751
Ti: 0.375 0.375 0.375
Ti: 0.625 0.625 0.625
Mn: 0.125 0.125 0.125
Mn: 0.875 0.875 0.875
Bi: 0.500 0.500 0.500
O: 0.000 0.000 0.500
O: 0.000 0.500 0.000
O: 0.000 0.500 0.500
O: 0.253 0.746 0.746
O: 0.254 0.254 0.747
O: 0.254 0.747 0.254
O: 0.500 0.000 0.000
O: 0.500 0.000 0.500
O: 0.500 0.500 0.000
O: 0.746 0.253 0.746
O: 0.746 0.746 0.253
O: 0.747 0.254 0.254

Top 10 peaks for 2θ from 5° to 70°, in order of rising 2θ:
9.81°, I = 24; 22.69°, I = 22; 32.24°, I = 100; 32.36°, I = 99; 39.79°, I = 32; 46.33°, I = 71; 57.55°, I = 58; 57.80°, I = 19; 67.47°, I = 21; 67.75°, I = 21

2.
The following is a theoretical XRD peak list of SrTiMnBiO6. It was derived from the GGA+U geometry in the Materials Project, using copper Kα.
Neutral-atom scattering factors, no anomalous dispersion.

Structural model:
a = 5.578 Å, b = 5.578 Å, c = 5.578 Å
α = 60.00°, β = 60.00°, γ = 60.00°
Atoms (fractional coordinates):
Sr: 0.000 0.000 0.000
Ti: 0.750 0.750 0.750
Mn: 0.250 0.250 0.250
Bi: 0.500 0.500 0.500
O: 0.503 0.503 0.997
O: 0.503 0.997 0.503
O: 0.503 0.997 0.997
O: 0.997 0.503 0.503
O: 0.997 0.503 0.997
O: 0.997 0.997 0.503

Top 10 peaks for 2θ from 5° to 70°, in order of rising 2θ:
19.49°, I = 22; 22.54°, I = 20; 32.09°, I = 100; 37.82°, I = 14; 39.57°, I = 24; 46.02°, I = 33; 50.42°, I = 6; 51.83°, I = 11; 57.21°, I = 39; 67.12°, I = 20

3.
The following is a theoretical XRD peak list of TbMn2BiO6. It was derived from the GGA+U geometry in the Materials Project, using copper Kα.
Neutral-atom scattering factors, no anomalous dispersion.

Structural model:
a = 6.011 Å, b = 6.011 Å, c = 6.011 Å
α = 60.00°, β = 60.00°, γ = 60.00°
Atoms (fractional coordinates):
Tb: 0.000 0.000 0.000
Mn: 0.250 0.250 0.250
Mn: 0.750 0.750 0.750
Bi: 0.500 0.500 0.500
O: 0.256 0.256 0.744
O: 0.256 0.744 0.256
O: 0.256 0.744 0.744
O: 0.744 0.256 0.256
O: 0.744 0.256 0.744
O: 0.744 0.744 0.256

Top 10 peaks for 2θ from 5° to 70°, in order of rising 2θ:
18.08°, I = 3; 20.90°, I = 49; 29.73°, I = 100; 35.01°, I = 2; 36.62°, I = 5; 42.54°, I = 31; 47.86°, I = 23; 52.76°, I = 41; 61.73°, I = 20; 65.93°, I = 11

4.
The following is a theoretical XRD peak list of MnVBiO5. It was derived from the GGA+U geometry in the Materials Project, using copper Kα.
Neutral-atom scattering factors, no anomalous dispersion.

Structural model:
a = 5.466 Å, b = 7.050 Å, c = 7.100 Å
α = 109.76°, β = 107.66°, γ = 96.84°
Atoms (fractional coordinates):
Mn: 0.173 0.132 0.272
Mn: 0.827 0.868 0.728
V: 0.158 0.681 0.386
V: 0.842 0.319 0.614
Bi: 0.397 0.744 0.965
Bi: 0.603 0.256 0.035
O: 0.066 0.415 0.211
O: 0.118 0.256 0.572
O: 0.236 0.003 0.950
O: 0.275 0.840 0.270
O: 0.410 0.717 0.630
O: 0.590 0.283 0.370
O: 0.725 0.160 0.730
O: 0.764 0.997 0.050
O: 0.882 0.744 0.428
O: 0.934 0.585 0.789

Top 10 peaks for 2θ from 5° to 70°, in order of rising 2θ:
14.26°, I = 100; 18.12°, I = 43; 19.49°, I = 45; 26.53°, I = 81; 27.63°, I = 94; 27.75°, I = 72; 29.01°, I = 50; 31.13°, I = 46; 32.19°, I = 45; 40.52°, I = 45

5.
The following is a theoretical XRD peak list of NaBiMo2O8. It was derived from the GGA+U geometry in the Materials Project, using copper Kα.
Neutral-atom scattering factors, no anomalous dispersion.

Structural model:
a = 6.937 Å, b = 6.937 Å, c = 6.937 Å
α = 134.83°, β = 134.83°, γ = 65.80°
Atoms (fractional coordinates):
Na: 0.000 0.000 0.000
Bi: 0.750 0.250 0.500
Mo: 0.250 0.750 0.500
Mo: 0.500 0.500 0.000
O: 0.012 0.425 0.102
O: 0.090 0.988 0.413
O: 0.172 0.558 0.903
O: 0.323 0.910 0.898
O: 0.442 0.344 0.613
O: 0.575 0.677 0.587
O: 0.656 0.269 0.097
O: 0.731 0.828 0.387

Top 10 peaks for 2θ from 5° to 70°, in order of rising 2θ:
15.21°, I = 19; 18.31°, I = 25; 23.61°, I = 13; 28.21°, I = 100; 30.70°, I = 14; 33.64°, I = 20; 46.18°, I = 31; 48.31°, I = 13; 53.06°, I = 17; 56.88°, I = 27

6.
The following is a theoretical XRD peak list of Bi2MoO6. It was derived from the GGA+U geometry in the Materials Project, using copper Kα.
Neutral-atom scattering factors, no anomalous dispersion.

Structural model:
a = 5.618 Å, b = 16.625 Å, c = 5.626 Å
α = 90.00°, β = 90.00°, γ = 90.00°
Atoms (fractional coordinates):
Bi: 0.026 0.076 0.000
Bi: 0.026 0.576 0.478
Bi: 0.474 0.076 0.500
Bi: 0.474 0.576 0.978
Bi: 0.526 0.424 0.478
Bi: 0.526 0.924 0.000
Bi: 0.974 0.424 0.978
Bi: 0.974 0.924 0.500
Mo: 0.008 0.750 0.956
Mo: 0.492 0.750 0.456
Mo: 0.508 0.250 0.956
Mo: 0.992 0.250 0.456
O: 0.091 0.646 0.853
O: 0.101 0.147 0.377
O: 0.189 0.278 0.694
O: 0.226 0.779 0.616
O: 0.238 0.498 0.197
O: 0.240 0.998 0.721
O: 0.260 0.998 0.221
O: 0.262 0.498 0.697
O: 0.274 0.779 0.116
O: 0.311 0.278 0.194
O: 0.399 0.147 0.877
O: 0.409 0.646 0.353
O: 0.591 0.354 0.853
O: 0.601 0.853 0.377
O: 0.689 0.722 0.694
O: 0.726 0.221 0.616
O: 0.738 0.502 0.197
O: 0.740 0.002 0.721
O: 0.760 0.002 0.221
O: 0.762 0.502 0.697
O: 0.774 0.221 0.116
O: 0.811 0.722 0.194
O: 0.899 0.853 0.877
O: 0.909 0.354 0.353

Top 10 peaks for 2θ from 5° to 70°, in order of rising 2θ:
10.64°, I = 14; 27.62°, I = 100; 31.84°, I = 29; 32.31°, I = 15; 35.19°, I = 9; 45.64°, I = 15; 45.99°, I = 26; 54.18°, I = 29; 54.80°, I = 15; 57.02°, I = 11

7.
The following is a theoretical XRD peak list of BiMoO5. It was derived from the GGA+U geometry in the Materials Project, using copper Kα.
Neutral-atom scattering factors, no anomalous dispersion.

Structural model:
a = 6.233 Å, b = 16.274 Å, c = 11.999 Å
α = 90.00°, β = 90.00°, γ = 90.00°
Atoms (fractional coordinates):
Bi: 0.075 0.210 0.180
Bi: 0.075 0.290 0.680
Bi: 0.425 0.710 0.180
Bi: 0.425 0.790 0.680
Bi: 0.575 0.210 0.320
Bi: 0.575 0.290 0.820
Bi: 0.925 0.710 0.320
Bi: 0.925 0.790 0.820
Mo: 0.022 0.615 0.602
Mo: 0.022 0.885 0.102
Mo: 0.478 0.115 0.602
Mo: 0.478 0.385 0.102
Mo: 0.522 0.615 0.898
Mo: 0.522 0.885 0.398
Mo: 0.978 0.115 0.898
Mo: 0.978 0.385 0.398
O: 0.115 0.702 0.702
O: 0.115 0.798 0.202
O: 0.121 0.040 0.828
O: 0.121 0.460 0.328
O: 0.148 0.162 0.011
O: 0.148 0.338 0.511
O: 0.228 0.652 0.296
O: 0.228 0.848 0.796
O: 0.249 0.072 0.546
O: 0.249 0.428 0.046
O: 0.251 0.572 0.546
O: 0.251 0.928 0.046
O: 0.272 0.152 0.296
O: 0.272 0.348 0.796
O: 0.352 0.662 0.011
O: 0.352 0.838 0.511
O: 0.379 0.540 0.828
O: 0.379 0.960 0.328
O: 0.385 0.202 0.702
O: 0.385 0.298 0.202
O: 0.615 0.702 0.798
O: 0.615 0.798 0.298
O: 0.621 0.040 0.672
O: 0.621 0.460 0.172
O: 0.648 0.162 0.489
O: 0.648 0.338 0.989
O: 0.728 0.652 0.204
O: 0.728 0.848 0.704
O: 0.749 0.072 0.954
O: 0.749 0.428 0.454
O: 0.751 0.572 0.954
O: 0.751 0.928 0.454
O: 0.772 0.152 0.204
O: 0.772 0.348 0.704
O: 0.852 0.662 0.489
O: 0.852 0.838 0.989
O: 0.879 0.540 0.672
O: 0.879 0.960 0.172
O: 0.885 0.202 0.798
O: 0.885 0.298 0.298

Top 10 peaks for 2θ from 5° to 70°, in order of rising 2θ:
10.87°, I = 100; 14.77°, I = 22; 16.93°, I = 47; 18.37°, I = 37; 22.96°, I = 31; 23.08°, I = 46; 26.36°, I = 64; 31.27°, I = 21; 33.61°, I = 39; 49.39°, I = 24